Diffraction record for Pu6URu5. The XRD peak list is simulated, not measured: it uses a DFT-relaxed cell (GGA-PBE, Alexandria) and Cu Kα.
Kinematic intensities with the Lorentz-polarization factor, no thermal factor.

Lattice parameters (Å, degrees): 5.344 5.922 7.636 81.84 85.85 74.12
Space group P-1 (No. 2)
Inequivalent atoms, fractional coordinates:
Pu (0.011, 0.253, 0.492) [2 per cell]
Pu (0.248, 0.450, 0.148) [2 per cell]
Pu (0.256, 0.939, 0.142) [2 per cell]
U (0.500, 0.000, 0.500) [1 per cell]
Ru (0.248, 0.815, 0.800) [2 per cell]
Ru (0.259, 0.309, 0.804) [2 per cell]
Ru (0.500, 0.500, 0.500) [1 per cell]

Main lines, most intense first (5 to 70 degrees two-theta):
(1 2 -1), 2θ = 35.7°, rel. 100
(1 2 2), 2θ = 37.0°, rel. 46
(2 0 1), 2θ = 36.6°, rel. 25
(1 -2 0), 2θ = 40.3°, rel. 24
(2 0 -1), 2θ = 37.4°, rel. 24
(1 2 -4), 2θ = 63.2°, rel. 19